(1)
TbErIn4: computed X-ray powder pattern (CuKα), based on a PBE-relaxed structure.
Peak positions follow from Bragg's law for the DFT cell and can differ from measured ones.

Largest 10 diffraction maxima, sorted by position, 10 to 90 degrees two-theta:
Position (°2θ)  I (rel.)
32.65  50
32.80  100
35.81  40
36.05  39
36.37  38
49.22  16
49.54  15
49.79  15
62.53  15
64.87  20

Cell and atoms:
```
TbErIn4
1.0
4.9411 0.0000 0.0000
0.0000 7.0724 0.0000
-2.4381 0.0000 4.3457
Tb Er In
1 1 4
Direct
0.0000 0.0000 0.0000
0.0000 0.5000 0.0000
0.3334 0.2533 0.6682
0.3334 0.7467 0.6682
0.6664 0.2550 0.3316
0.6664 0.7450 0.3316
```

***

(2)
Tb2Er7In: computed X-ray powder pattern (CuKα), based on a PBE-relaxed structure.
Peak positions follow from Bragg's law for the DFT cell and can differ from measured ones.

Largest 10 diffraction maxima, sorted by position, 10 to 90 degrees two-theta:
Position (°2θ)  I (rel.)
11.62  19
16.95  45
20.61  31
30.21  35
34.06  100
34.29  42
36.11  57
46.34  22
61.26  18
63.64  24

Cell and atoms:
```
Tb2Er7In
1.0
4.3065 -8.1428 0.0000
4.3065 8.1428 0.0000
0.0000 0.0000 5.2299
Tb Er In
2 7 1
Direct
0.2071 0.7929 0.0000
0.7929 0.2071 0.0000
0.0000 0.0000 0.0000
0.2180 0.4279 0.0000
0.3023 0.6977 0.5000
0.4279 0.2180 0.0000
0.5721 0.7820 0.0000
0.6977 0.3023 0.5000
0.7820 0.5721 0.0000
0.5000 0.5000 0.5000
```

***

(3)
Tb4Er9In11: computed X-ray powder pattern (CuKα), based on a PBE-relaxed structure.
Peak positions follow from Bragg's law for the DFT cell and can differ from measured ones.

Largest 10 diffraction maxima, sorted by position, 10 to 90 degrees two-theta:
Position (°2θ)  I (rel.)
32.33  75
32.72  87
34.23  97
34.34  97
34.74  100
38.65  47
52.77  46
58.92  56
62.38  50
64.42  30

Cell and atoms:
```
Tb4Er9In11
1.0
7.9322 -11.6040 0.0000
7.9322 11.6040 0.0000
0.0000 0.0000 3.4695
Tb Er In
4 9 11
Direct
0.0915 0.2544 0.0000
0.2544 0.0915 0.0000
0.7456 0.9085 0.0000
0.9085 0.7456 0.0000
0.0000 0.0000 0.0000
0.1120 0.6656 0.0000
0.2968 0.4889 0.0000
0.3344 0.8880 0.0000
0.4889 0.2968 0.0000
0.5111 0.7032 0.0000
0.6656 0.1120 0.0000
0.7032 0.5111 0.0000
0.8880 0.3344 0.0000
0.0908 0.4582 0.5000
0.1212 0.8788 0.5000
0.2969 0.2969 0.5000
0.3117 0.6883 0.5000
0.4582 0.0908 0.5000
0.5000 0.5000 0.5000
0.5418 0.9092 0.5000
0.6883 0.3117 0.5000
0.7031 0.7031 0.5000
0.8788 0.1212 0.5000
0.9092 0.5418 0.5000
```

***

(4)
ErInTc: computed X-ray powder pattern (CuKα), based on a PBE-relaxed structure.
Peak positions follow from Bragg's law for the DFT cell and can differ from measured ones.

Largest 10 diffraction maxima, sorted by position, 10 to 90 degrees two-theta:
Position (°2θ)  I (rel.)
12.85  16
25.87  15
28.14  28
31.04  21
38.59  100
40.21  47
48.43  11
58.17  16
68.72  15
72.00  31

Cell and atoms:
```
ErInTc
1.0
4.4853 0.0000 0.0000
0.0000 4.4853 0.0000
0.0000 0.0000 6.8884
Er In Tc
2 2 2
Direct
0.2500 0.2500 0.2203
0.7500 0.7500 0.7797
0.2500 0.2500 0.7433
0.7500 0.7500 0.2567
0.2500 0.7500 0.5000
0.7500 0.2500 0.5000
```

***

(5)
Er4InTe5: computed X-ray powder pattern (CuKα), based on a PBE-relaxed structure.
Peak positions follow from Bragg's law for the DFT cell and can differ from measured ones.

Largest 10 diffraction maxima, sorted by position, 10 to 90 degrees two-theta:
Position (°2θ)  I (rel.)
21.61  50
22.50  73
29.89  26
31.40  31
31.67  26
35.57  100
35.81  27
36.94  23
39.12  31
41.35  31

Cell and atoms:
```
Er4InTe5
1.0
9.2111 0.0000 0.0000
0.0000 9.7334 0.0000
0.0000 0.0000 7.6914
Er In Te
8 2 10
Direct
0.0105 0.2500 0.0900
0.2500 0.0276 0.5095
0.2500 0.4724 0.5095
0.4895 0.2500 0.0900
0.5105 0.7500 0.9100
0.7500 0.5276 0.4904
0.7500 0.9724 0.4904
0.9895 0.7500 0.9100
0.2500 0.2500 0.7973
0.7500 0.7500 0.2027
0.0284 0.5469 0.2361
0.0284 0.9531 0.2361
0.2500 0.7500 0.6739
0.4716 0.5469 0.2361
0.4716 0.9531 0.2361
0.5284 0.0469 0.7639
0.5284 0.4531 0.7639
0.7500 0.2500 0.3261
0.9716 0.0469 0.7639
0.9716 0.4531 0.7639
```

***

(6)
Er2InTe4: computed X-ray powder pattern (CuKα), based on a PBE-relaxed structure.
Peak positions follow from Bragg's law for the DFT cell and can differ from measured ones.

Largest 10 diffraction maxima, sorted by position, 10 to 90 degrees two-theta:
Position (°2θ)  I (rel.)
12.04  23
23.16  54
28.02  75
36.66  38
40.05  100
49.59  19
55.41  14
57.93  16
65.56  23
72.75  30

Cell and atoms:
```
Er2InTe4
1.0
-4.5044 4.5044 6.3634
4.5044 -4.5044 6.3634
4.5044 4.5044 -6.3634
Er In Te
4 2 8
Direct
0.0000 0.0000 0.0000
0.0000 0.0000 0.5000
0.0000 0.5000 0.0000
0.5000 0.0000 0.5000
0.3750 0.6250 0.7500
0.6250 0.3750 0.2500
0.2219 0.2408 0.9811
0.2403 0.7592 0.4811
0.2408 0.2219 0.4811
0.2408 0.7597 0.0189
0.7592 0.2403 0.9811
0.7592 0.7781 0.5189
0.7597 0.2408 0.5189
0.7781 0.7592 0.0189
```

***

(7)
Er4InTe2: computed X-ray powder pattern (CuKα), based on a PBE-relaxed structure.
Peak positions follow from Bragg's law for the DFT cell and can differ from measured ones.

Largest 10 diffraction maxima, sorted by position, 10 to 90 degrees two-theta:
Position (°2θ)  I (rel.)
26.49  69
29.75  51
30.33  100
35.35  72
35.53  63
35.84  28
37.81  27
40.25  27
44.86  24
49.55  25

Cell and atoms:
```
Er4InTe2
1.0
-4.7590 4.7590 4.6487
4.7590 -4.7590 4.6487
4.7590 4.7590 -4.6487
Er In Te
8 2 4
Direct
0.0189 0.7484 0.6539
0.0945 0.3650 0.3461
0.1150 0.2689 0.7705
0.2516 0.9811 0.3461
0.4984 0.3445 0.2295
0.6350 0.9055 0.6539
0.6555 0.5016 0.7705
0.7311 0.8850 0.2295
0.0000 0.0000 0.0000
0.7500 0.2500 0.5000
0.3360 0.6250 0.2110
0.3750 0.6640 0.7890
0.4140 0.1250 0.7890
0.8750 0.5860 0.2110
```

***

(8)
Y2ErIn3Te6: computed X-ray powder pattern (CuKα), based on a PBE-relaxed structure.
Peak positions follow from Bragg's law for the DFT cell and can differ from measured ones.

Largest 10 diffraction maxima, sorted by position, 10 to 90 degrees two-theta:
Position (°2θ)  I (rel.)
27.60  100
37.83  38
40.96  36
44.71  7
50.10  19
56.98  11
62.24  15
66.64  16
72.54  11
74.61  6

Cell and atoms:
```
Y2ErIn3Te6
1.0
3.8165 -6.6095 0.0000
3.8165 6.6095 0.0000
-2.5445 0.0000 8.1074
Y Er In Te
2 1 3 6
Direct
0.1665 0.8335 0.0000
0.8335 0.1665 0.0000
0.5000 0.5000 0.0000
0.0000 0.0000 0.5000
0.3325 0.6675 0.5000
0.6675 0.3325 0.5000
0.0962 0.4272 0.7817
0.2421 0.2421 0.2191
0.4272 0.0962 0.7817
0.5728 0.9038 0.2183
0.7579 0.7579 0.7809
0.9038 0.5728 0.2183
```

***

(9)
ErTh3In4: computed X-ray powder pattern (CuKα), based on a PBE-relaxed structure.
Peak positions follow from Bragg's law for the DFT cell and can differ from measured ones.

Largest 10 diffraction maxima, sorted by position, 10 to 90 degrees two-theta:
Position (°2θ)  I (rel.)
21.50  13
30.59  69
34.60  100
43.81  26
55.20  7
56.99  48
64.43  17
72.24  6
72.99  11
74.55  11

Cell and atoms:
```
ErTh3In4
1.0
3.3282 0.0000 0.0000
0.0000 5.8515 0.0000
0.0000 0.0000 11.6778
Er Th In
1 3 4
Direct
0.0000 0.0000 0.0000
0.0000 0.0000 0.5000
0.0000 0.5000 0.2496
0.0000 0.5000 0.7504
0.5000 0.0000 0.2421
0.5000 0.0000 0.7579
0.5000 0.5000 0.0000
0.5000 0.5000 0.5000
```

***

(10)
ErTh3In4: computed X-ray powder pattern (CuKα), based on a PBE-relaxed structure.
Peak positions follow from Bragg's law for the DFT cell and can differ from measured ones.

Largest 10 diffraction maxima, sorted by position, 10 to 90 degrees two-theta:
Position (°2θ)  I (rel.)
32.01  100
32.14  100
37.02  34
37.30  66
53.57  58
63.62  28
63.89  26
64.12  27
67.23  12
88.06  17

Cell and atoms:
```
ErTh3In4
1.0
9.7139 0.0000 0.0000
0.0000 6.8384 0.0000
0.0000 0.0000 6.7988
Er Th In
2 6 8
Direct
0.0000 0.9999 0.0000
0.5000 0.0001 0.5000
0.0000 0.4998 0.9988
0.2497 0.2628 0.2499
0.2503 0.7372 0.7499
0.5000 0.5002 0.4988
0.7503 0.2628 0.2499
0.7497 0.7372 0.7499
0.0000 0.0004 0.5003
0.0000 0.5014 0.4988
0.2503 0.2380 0.7498
0.2497 0.7620 0.2498
0.5000 0.9996 0.0003
0.5000 0.4986 0.9988
0.7497 0.2380 0.7498
0.7503 0.7620 0.2498
```

***

(11)
Er8Tl2In: computed X-ray powder pattern (CuKα), based on a PBE-relaxed structure.
Peak positions follow from Bragg's law for the DFT cell and can differ from measured ones.

Largest 10 diffraction maxima, sorted by position, 10 to 90 degrees two-theta:
Position (°2θ)  I (rel.)
32.43  47
32.64  98
33.03  100
33.92  48
46.60  18
47.63  32
58.45  25
58.88  20
59.89  17
60.13  18

Cell and atoms:
```
Er8Tl2In
1.0
8.1085 -2.6429 0.0000
8.1085 2.6429 0.0000
-4.3116 0.0000 7.2997
Er Tl In
8 2 1
Direct
0.0635 0.0635 0.2191
0.1373 0.1373 0.6816
0.3196 0.3196 0.5555
0.4093 0.4093 0.0486
0.5907 0.5907 0.9514
0.6804 0.6804 0.4445
0.8627 0.8627 0.3184
0.9365 0.9365 0.7809
0.2230 0.2230 0.1209
0.7770 0.7770 0.8791
0.5000 0.5000 0.5000
```

***

(12)
Er8TlIn5: computed X-ray powder pattern (CuKα), based on a PBE-relaxed structure.
Peak positions follow from Bragg's law for the DFT cell and can differ from measured ones.

Largest 10 diffraction maxima, sorted by position, 10 to 90 degrees two-theta:
Position (°2θ)  I (rel.)
30.57  100
36.35  73
43.78  10
46.04  8
48.21  20
50.32  22
61.82  14
61.89  12
63.68  9
65.41  15

Cell and atoms:
```
Er8TlIn5
1.0
-4.6204 4.6204 4.6293
4.6204 -4.6204 4.6293
4.6204 4.6204 -4.6293
Er Tl In
8 1 5
Direct
0.1248 0.2242 0.7500
0.1264 0.7272 0.7503
0.2728 0.0231 0.3992
0.4742 0.3749 0.2500
0.6239 0.8736 0.6008
0.6251 0.8752 0.0993
0.7758 0.5258 0.9007
0.9769 0.3761 0.2497
0.7500 0.2500 0.5000
0.0000 0.0000 0.0000
0.2506 0.6249 0.1241
0.3751 0.4991 0.6256
0.5009 0.1265 0.8759
0.8735 0.7494 0.3744
```

***

(13)
Er7Tl4In: computed X-ray powder pattern (CuKα), based on a PBE-relaxed structure.
Peak positions follow from Bragg's law for the DFT cell and can differ from measured ones.

Largest 10 diffraction maxima, sorted by position, 10 to 90 degrees two-theta:
Position (°2θ)  I (rel.)
27.52  28
31.38  89
33.65  56
34.55  100
35.82  82
46.67  45
57.93  23
58.78  28
63.85  21
64.12  20

Cell and atoms:
```
Er7Tl4In
1.0
7.1456 -2.8504 0.0000
7.1456 2.8504 0.0000
-6.6293 0.0000 8.8190
Er Tl In
7 4 1
Direct
0.0000 0.0000 0.0000
0.1582 0.1582 0.5879
0.2866 0.2866 0.1252
0.4291 0.4291 0.6746
0.5709 0.5709 0.3254
0.7134 0.7134 0.8748
0.8418 0.8418 0.4121
0.0680 0.0680 0.7746
0.2109 0.2109 0.3383
0.7891 0.7891 0.6617
0.9320 0.9320 0.2254
0.5000 0.5000 0.0000
```